For Sr2Al4InHg3, DFT lattice parameters and positions (GGA-PBE) gives the calculated PXRD pattern in this record (Cu Kα X-rays).
No peak broadening, texture or thermal motion is included.

The 10 most intense peaks (2θ = 10–90°), low angle first:
23.1 deg, I 44, (0 0 3); 24.8 deg, I 62, (1 0 2); 28.6 deg, I 89, (1 1 1); 30.3 deg, I 63, (1 0 3); 31.7 deg, I 100, (1 1 2); 39.3 deg, I 78, (2 0 0); 41.9 deg, I 53, (1 1 4); 43.9 deg, I 38, (1 0 5); 46.1 deg, I 30, (2 0 3); 50.4 deg, I 31, (2 1 3)

Structure:
a b c (Å): 4.585 4.585 11.551
angles (deg): 90.00 90.00 90.00
Element x y z (fractional)
Sr: 0.000 0.500 0.248
Sr: 0.500 0.000 0.752
Al: 0.000 0.000 0.000
Al: 0.000 0.500 0.640
Al: 0.500 0.000 0.360
Al: 0.500 0.500 0.000
In: 0.000 0.000 0.500
Hg: 0.000 0.500 0.867
Hg: 0.500 0.000 0.133
Hg: 0.500 0.500 0.500